HfVPb: theoretical X-ray diffraction stick pattern (Cu Kα), based on a structure optimized by DFT (PBE).

Cell and atoms:
a = 3.2457 Å, b = 3.2457 Å, c = 21.2205 Å
α = 90.00°, β = 90.00°, γ = 120.00°
Space group R3m (No. 160, hexagonal axes)
Unique sites:
Hf: 0.0000 0.0000 0.0000 [3 per cell]
V: 0.0000 0.0000 0.4297 [3 per cell]
Pb: 0.0000 0.0000 0.2081 [3 per cell]

Most intense lines, 2θ from 10° to 90°, by intensity:
d [Å]	I (rel.)	(hkl)
2.344	100	0 1 5
2.484	85	1 0 4
2.787	77	1 0 1
1.623	35	1 1 0
1.334	34	2 0 5
1.337	31	1 1 9
2.358	31	0 0 9
1.694	30	1 0 10
3.537	29	0 0 6
7.073	24	0 0 3



NaLiPmCl5: theoretical X-ray diffraction stick pattern (Cu Kα), based on a structure optimized by DFT (PBE).

Cell and atoms:
a = 8.294 Å, b = 12.192 Å, c = 9.944 Å
α = 90.00°, β = 112.67°, γ = 90.00°
Space group C2/c (No. 15)
Unique sites:
Na: 0.000 0.110 0.250 [4 per cell]
Li: 0.000 0.200 0.750 [4 per cell]
Pm: 0.000 0.500 0.000 [4 per cell]
Cl: 0.000 0.402 0.250 [4 per cell]
Cl: 0.156 0.316 0.649 [8 per cell]
Cl: 0.168 0.072 0.936 [8 per cell]

Most intense lines, 2θ from 10° to 90°, by intensity:
d [Å]	I (rel.)	(hkl)
6.482	100	1 1 0
4.501	68	1 1 -2
6.096	54	0 2 0
3.666	44	0 2 2
3.241	24	2 2 0
2.653	22	3 1 -2
2.607	20	1 3 2
1.784	20	2 6 -2
2.425	19	1 1 -4
2.160	19	3 3 0



TmPuO4F: theoretical X-ray diffraction stick pattern (Cu Kα), based on a structure optimized by DFT (PBE).

Cell and atoms:
a = 10.917 Å, b = 5.879 Å, c = 7.361 Å
α = 90.00°, β = 94.18°, γ = 90.00°
Space group C2/m (No. 12)
Unique sites:
Tm: 0.162 0.000 0.489 [4 per cell]
Pu: 0.155 0.500 0.110 [4 per cell]
O: 0.003 0.500 0.819 [4 per cell]
O: 0.194 0.000 0.982 [4 per cell]
O: 0.220 0.277 0.319 [8 per cell]
F: 0.015 0.000 0.670 [4 per cell]

Most intense lines, 2θ from 10° to 90°, by intensity:
d [Å]	I (rel.)	(hkl)
4.299	100	1 1 -1
2.943	78	0 2 0
2.786	38	3 1 1
2.912	29	3 1 -1
5.444	25	2 0 0
2.295	19	2 0 -3
2.081	17	2 2 2
4.534	14	2 0 -1
1.623	13	3 1 -4
1.809	12	2 2 -3



In2P6O19: theoretical X-ray diffraction stick pattern (Cu Kα), based on a structure optimized by DFT (PBE).

Cell and atoms:
a = 11.648 Å, b = 13.298 Å, c = 5.143 Å
α = 90.00°, β = 90.00°, γ = 90.00°
Space group Pmmn (No. 59, origin choice 2)
Unique sites:
In: 0.000 0.000 0.000 [4 per cell]
P: 0.121 0.137 0.493 [8 per cell]
P: 0.250 0.638 0.051 [4 per cell]
O: 0.042 0.120 0.267 [8 per cell]
O: 0.107 0.250 0.598 [4 per cell]
O: 0.114 0.069 0.726 [8 per cell]
O: 0.139 0.591 0.148 [8 per cell]
O: 0.250 0.135 0.378 [4 per cell]
O: 0.250 0.639 0.751 [4 per cell]
O: 0.250 0.750 0.168 [2 per cell]

Most intense lines, 2θ from 10° to 90°, by intensity:
d [Å]	I (rel.)	(hkl)
4.435	100	1 1 1
4.381	100	2 2 0
3.335	92	2 2 1
4.068	88	0 2 1
6.649	85	0 2 0
2.534	51	4 0 1
2.517	49	2 4 1
3.727	43	3 1 0
1.921	43	2 4 2
2.887	40	2 4 0



La2Pr12Nd: theoretical X-ray diffraction stick pattern (Cu Kα), based on a structure optimized by DFT (PBE).

Cell and atoms:
a = 6.701 Å, b = 6.701 Å, c = 25.788 Å
α = 90.00°, β = 90.00°, γ = 90.00°
Space group P4/nbm (No. 125, origin choice 2)
Unique sites:
La: 0.250 0.750 0.234 [4 per cell]
Pr: 0.063 0.563 0.386 [8 per cell]
Pr: 0.082 0.582 0.062 [8 per cell]
Pr: 0.250 0.250 0.161 [4 per cell]
Pr: 0.250 0.250 0.285 [4 per cell]
Nd: 0.250 0.750 0.500 [2 per cell]

Most intense lines, 2θ from 10° to 90°, by intensity:
d [Å]	I (rel.)	(hkl)
2.974	100	2 0 4
2.830	91	2 1 3
2.908	90	1 1 7
3.243	80	2 0 2
2.457	62	2 1 6
2.865	59	0 0 9
2.369	57	2 2 0
3.122	54	2 0 3
1.704	47	3 1 9
4.447	40	1 1 2



TlHSe3: theoretical X-ray diffraction stick pattern (Cu Kα), based on a structure optimized by DFT (PBE).

Cell and atoms:
a = 4.614 Å, b = 4.614 Å, c = 4.614 Å
α = 90.00°, β = 90.00°, γ = 90.00°
Space group Pm-3m (No. 221)
Unique sites:
Tl: 0.000 0.000 0.000 [1 per cell]
H: 0.500 0.500 0.500 [1 per cell]
Se: 0.000 0.500 0.500 [3 per cell]

Most intense lines, 2θ from 10° to 90°, by intensity:
d [Å]	I (rel.)	(hkl)
2.664	100	1 1 1
2.307	51	2 0 0
1.391	40	3 1 1
1.631	34	2 2 0
4.614	21	1 0 0
3.263	19	1 1 0
1.332	12	2 2 2
2.063	11	2 1 0
1.884	9	2 1 1
1.153	6	4 0 0